Entry 1:
Starting from a cell relaxed with PBE, the powder X-ray diffraction pattern of ZrSeS was computed for Cu Kα (weighted mean of Kα1 and Kα2).

Main lines, in order of falling intensity (10 to 90 degrees two-theta):
- (0 1 1), 31.00°, 2.884 Å, intensity 100
- (0 0 1), 14.10°, 6.283 Å, intensity 64
- (0 1 2), 39.93°, 2.258 Å, intensity 62
- (1 1 0), 48.57°, 1.874 Å, intensity 31
- (1 1 4), 79.62°, 1.204 Å, intensity 26
- (1 0 3), 51.96°, 1.760 Å, intensity 22

Cell and atoms:
Unit cell a=3.749 b=3.749 c=6.283 alpha=90.00 beta=90.00 gamma=120.00
Sites, in units of the cell vectors:
Zr 0.000 0.000 0.000
Se 0.667 0.333 0.738
S 0.333 0.667 0.223

***

Entry 2:
Starting from a cell relaxed with PBE, the powder X-ray diffraction pattern of BaH2 was computed for Cu Kα (weighted mean of Kα1 and Kα2).

Main lines, in order of falling intensity (10 to 90 degrees two-theta):
- (2 0 0), 26.06°, 3.419 Å, intensity 100
- (1 1 1), 27.46°, 3.248 Å, intensity 69
- (0 1 1), 24.12°, 3.689 Å, intensity 35
- (2 2 0), 51.28°, 1.782 Å, intensity 31
- (2 1 1), 35.77°, 2.510 Å, intensity 26
- (2 1 3), 48.83°, 1.865 Å, intensity 18

Cell and atoms:
Unit cell a=6.849 b=4.175 c=7.883 alpha=90.00 beta=90.00 gamma=90.00
Sites, in units of the cell vectors:
Ba 0.239 0.250 0.112
Ba 0.261 0.750 0.612
Ba 0.739 0.250 0.388
Ba 0.761 0.750 0.888
H 0.028 0.750 0.319
H 0.145 0.750 0.928
H 0.355 0.250 0.428
H 0.472 0.250 0.819
H 0.528 0.750 0.181
H 0.645 0.750 0.572
H 0.855 0.250 0.072
H 0.972 0.250 0.681